# CeCrAs2O8
Computed powder XRD pattern, Cu Kα X-rays. Input: the GGA+U geometry in Alexandria.

Largest 6 diffraction maxima, sorted by position, 15° ≤ 2θ ≤ 90°:
d [Å], I/Imax
4.696, 46
3.859, 100
2.747, 84
2.711, 91
1.930, 48
1.572, 35

Cell and atoms:
Cell lengths 5.4229, 5.4229, 6.7725 Å; angles 90.00, 90.00, 120.00 degrees
Space group P-3m1 (No. 164)
Unique sites:
1 Ce 0.0000 0.0000 0.0000 [1 per cell]
2 Cr 0.0000 0.0000 0.5000 [1 per cell]
3 As 0.3333 0.6667 0.2304 [2 per cell]
4 O 0.1580 0.3160 0.3017 [6 per cell]
5 O 0.3333 0.6667 0.9803 [2 per cell]